Structure and theoretical X-ray powder pattern of Ba8Zr3Sb4O24 (a GGA-PBE-relaxed structure; Cu Kα X-rays).

Top 10 peaks for 2θ from 10° to 90°, in order of rising 2θ:
2θ/deg	I_rel
30.06	100
37.04	5
42.88	10
43.12	20
53.29	12
53.44	24
62.43	12
62.62	6
71.02	9
86.48	5

Structural model:
```
Ba8Zr3Sb4O24
1.0
-4.196 4.196 8.437
4.196 -4.196 8.437
4.196 4.196 -8.437
Ba Zr Sb O
8 3 4 24
Direct
0.115 0.115 0.467
0.115 0.648 0.000
0.352 0.352 0.467
0.352 0.885 0.000
0.648 0.115 0.000
0.648 0.648 0.533
0.885 0.352 0.000
0.885 0.885 0.533
0.250 0.750 0.500
0.500 0.500 0.000
0.750 0.250 0.500
0.000 0.500 0.500
0.256 0.256 0.000
0.500 0.000 0.500
0.744 0.744 0.000
0.000 0.271 0.271
0.000 0.729 0.729
0.009 0.255 0.754
0.124 0.624 0.500
0.141 0.141 0.000
0.248 0.500 0.748
0.255 0.009 0.754
0.255 0.501 0.246
0.271 0.000 0.271
0.374 0.374 0.000
0.376 0.876 0.500
0.499 0.745 0.754
0.500 0.248 0.748
0.500 0.752 0.252
0.501 0.255 0.246
0.624 0.124 0.500
0.626 0.626 0.000
0.729 0.000 0.729
0.745 0.499 0.754
0.745 0.991 0.246
0.752 0.500 0.252
0.859 0.859 0.000
0.876 0.376 0.500
0.991 0.745 0.246
```